Calculated powder XRD pattern of Cs2CoGeO4 for copper Kα, from a DFT-relaxed cell (PBE+U, Alexandria).
Lines closer than 0.1° are merged.

Unit cell a=12.606 b=11.220 c=6.855 alpha=84.79 beta=62.43 gamma=32.79
Positions (direct):
Cs1 0.049 0.049 0.701
Cs2 0.299 0.299 0.951
Cs3 0.701 0.701 0.049
Cs4 0.951 0.951 0.299
Co1 0.375 0.375 0.375
Co2 0.625 0.625 0.625
Ge1 0.125 0.125 0.125
Ge2 0.875 0.875 0.875
O1 0.026 0.310 0.380
O2 0.216 0.620 0.690
O3 0.310 0.026 0.784
O4 0.380 0.784 0.026
O5 0.620 0.216 0.974
O6 0.690 0.974 0.216
O7 0.784 0.380 0.310
O8 0.974 0.690 0.620

Top 10 peaks for 2θ from 5° to 70°, in order of rising 2θ:
| d_spacing | I (rel.) |
| --- | --- |
| 4.760 | 22.8 |
| 4.051 | 39.0 |
| 3.255 | 24.9 |
| 3.155 | 100.0 |
| 3.002 | 34.6 |
| 2.629 | 20.8 |
| 2.439 | 29.8 |
| 2.138 | 23.2 |
| 1.824 | 14.1 |
| 1.771 | 25.0 |